# CaNi2O4
Computed X-ray powder pattern, Cu Kα (λ = 1.5418 Å). Input: a cell relaxed with PBE+U.
Kinematic intensities with the Lorentz-polarization factor, no thermal factor.

Largest 12 diffraction maxima, sorted by position, 5 to 70 degrees two-theta:
| two_theta | I_rel |
| --- | --- |
| 18.55 | 256 |
| 30.04 | 211 |
| 31.50 | 315 |
| 33.51 | 1000 |
| 35.54 | 295 |
| 36.60 | 231 |
| 39.91 | 408 |
| 41.05 | 488 |
| 44.35 | 489 |
| 57.25 | 261 |
| 63.06 | 303 |
| 69.77 | 194 |

```
28
Lattice="3.121 0.000 0.000 0.000 9.821 0.000 0.000 0.000 9.567" Properties=species:S:1:pos:R:3 pbc="T T T"
Ca 0.646 1.449 2.392
Ca 0.646 3.461 7.175
Ca 2.476 6.360 2.392
Ca 2.476 8.372 7.175
Ni 0.840 5.981 5.445
Ni 0.840 5.981 8.905
Ni 0.840 8.751 0.662
Ni 0.840 8.751 4.121
Ni 2.281 1.070 5.445
Ni 2.281 1.070 8.905
Ni 2.281 3.840 0.662
Ni 2.281 3.840 4.121
O 0.376 2.455 0.000
O 0.376 2.455 4.783
O 0.879 5.115 1.021
O 0.879 5.115 3.763
O 0.879 9.617 5.804
O 0.879 9.617 8.546
O 0.912 6.744 7.175
O 0.912 7.988 2.392
O 2.209 1.834 7.175
O 2.209 3.077 2.392
O 2.242 0.204 1.021
O 2.242 0.204 3.763
O 2.242 4.706 5.804
O 2.242 4.706 8.546
O 2.745 7.366 0.000
O 2.745 7.366 4.783
```